1.
This entry pairs a crystal structure of Ti7O13 with its calculated powder diffraction line list. Radiation: Cu Ka. Structure: a cell relaxed with PBE.

Crystal structure
```
data_Ti7O13
_chemical_formula_sum 'Ti14 O26'
_cell_length_a 5.592
_cell_length_b 7.189
_cell_length_c 11.408
_cell_angle_alpha 83.96
_cell_angle_beta 89.28
_cell_angle_gamma 71.37
_space_group_name_H-M_alt 'P -1'
_space_group_IT_number 2
_space_group_name_Hall '-P 1'
loop_
_atom_site_label
_atom_site_type_symbol
_atom_site_fract_x
_atom_site_fract_y
_atom_site_fract_z
_atom_site_occupancy
Ti1 Ti 0.000 0.000 0.000 1
Ti2 Ti 0.000 0.500 0.000 1
Ti3 Ti 0.206 0.289 0.552 1
Ti4 Ti 0.206 0.790 0.556 1
Ti5 Ti 0.214 0.487 0.293 1
Ti6 Ti 0.216 0.983 0.293 1
Ti7 Ti 0.387 0.764 0.855 1
Ti8 Ti 0.391 0.263 0.853 1
O1 O 0.033 0.925 0.832 1
O2 O 0.058 0.068 0.592 1
O3 O 0.114 0.232 0.949 1
O4 O 0.127 0.236 0.376 1
O5 O 0.148 0.366 0.706 1
O6 O 0.198 0.552 0.473 1
O7 O 0.244 0.405 0.141 1
O8 O 0.281 0.529 0.899 1
O9 O 0.319 0.713 0.250 1
O10 O 0.363 0.832 0.014 1
O11 O 0.425 0.687 0.683 1
O12 O 0.448 0.843 0.445 1
O13 O 0.498 0.005 0.205 1
```

Top 10 peaks for 10° ≤ 2θ ≤ 90°, in order of rising 2θ:
- (1 0 2), d 3.829, I = 42
- (1 2 0), d 3.387, I = 70
- (1 2 -1), d 3.166, I = 69
- (1 0 3), d 3.046, I = 100
- (2 0 -1), d 2.592, I = 32
- (1 0 -4), d 2.523, I = 37
- (-1 2 1), d 2.500, I = 33
- (0 1 5), d 2.223, I = 31
- (3 2 -2), d 1.719, I = 55
- (2 4 -1), d 1.653, I = 30

***

2.
This entry pairs a crystal structure of Ac2Tl2CuPd4 with its calculated powder diffraction line list. Radiation: Cu Ka. Structure: a cell relaxed with PBE.

Crystal structure
```
data_Ac2Tl2CuPd4
_chemical_formula_sum 'Ac4 Tl4 Cu2 Pd8'
_cell_length_a 7.024
_cell_length_b 7.024
_cell_length_c 8.487
_cell_angle_alpha 90.00
_cell_angle_beta 90.00
_cell_angle_gamma 90.00
_space_group_name_H-M_alt 'I 4/m m m'
_space_group_IT_number 139
_space_group_name_Hall '-I 4 2'
loop_
_atom_site_label
_atom_site_type_symbol
_atom_site_fract_x
_atom_site_fract_y
_atom_site_fract_z
_atom_site_occupancy
Ac1 Ac 0.000 0.500 0.250 1
Tl1 Tl 0.000 0.000 0.190 1
Cu1 Cu 0.000 0.000 0.500 1
Pd1 Pd 0.241 0.241 0.000 1
```

Top 10 peaks for 10° ≤ 2θ ≤ 90°, in order of rising 2θ:
- (2 0 0), d 3.512, I = 18
- (2 0 2), d 2.706, I = 100
- (1 0 3), d 2.624, I = 13
- (2 2 0), d 2.483, I = 59
- (0 0 4), d 2.122, I = 10
- (2 1 3), d 2.102, I = 17
- (4 0 0), d 1.756, I = 21
- (2 2 4), d 1.613, I = 16
- (4 2 2), d 1.473, I = 31
- (6 2 0), d 1.111, I = 9

***

3.
This entry pairs a crystal structure of ScZn4As with its calculated powder diffraction line list. Radiation: Cu Ka. Structure: a cell relaxed with PBE.

Crystal structure
```
data_ScZn4As
_chemical_formula_sum 'Sc4 Zn16 As4'
_cell_length_a 7.437
_cell_length_b 7.437
_cell_length_c 7.437
_cell_angle_alpha 90.00
_cell_angle_beta 90.00
_cell_angle_gamma 90.00
_space_group_name_H-M_alt 'F -4 3 m'
_space_group_IT_number 216
_space_group_name_Hall 'F -4 2 3'
loop_
_atom_site_label
_atom_site_type_symbol
_atom_site_fract_x
_atom_site_fract_y
_atom_site_fract_z
_atom_site_occupancy
Sc1 Sc 0.000 0.000 0.000 1
Zn1 Zn 0.126 0.126 0.626 1
As1 As 0.250 0.250 0.250 1
```

Top 10 peaks for 10° ≤ 2θ ≤ 90°, in order of rising 2θ:
- (1 1 1), d 4.293, I = 12
- (2 2 0), d 2.629, I = 22
- (3 1 1), d 2.242, I = 100
- (2 2 2), d 2.147, I = 46
- (4 0 0), d 1.859, I = 7
- (4 2 2), d 1.518, I = 8
- (5 1 1), d 1.431, I = 30
- (4 4 0), d 1.315, I = 26
- (5 3 3), d 1.134, I = 10
- (6 2 2), d 1.121, I = 15